Record 1
For CaNi4Sn2, the GGA-PBE geometry in Alexandria gives the calculated X-ray diffraction stick pattern in this record (Cu Kα, 1.54184 Å).
Kinematic intensities with the Lorentz-polarization factor, no thermal factor.

Top 10 peaks for 10 to 90 degrees two-theta, low angle first:
2θ 16.2, d = 5.458 Å, rel. 37
2θ 23.0, d = 3.859 Å, rel. 10
2θ 28.2, d = 3.161 Å, rel. 15
2θ 32.5, d = 2.756 Å, rel. 10
2θ 36.8, d = 2.441 Å, rel. 55
2θ 43.3, d = 2.089 Å, rel. 100
2θ 47.1, d = 1.930 Å, rel. 18
2θ 50.1, d = 1.820 Å, rel. 23
2θ 60.8, d = 1.524 Å, rel. 13
2θ 75.6, d = 1.258 Å, rel. 27

Structure:
a = 6.730 Å, b = 6.730 Å, c = 6.730 Å
α = 110.01°, β = 110.01°, γ = 108.40°
Atoms (fractional coordinates):
Ca: 0.250 0.250 0.000
Ca: 0.750 0.750 0.000
Ni: 0.025 0.525 0.219
Ni: 0.194 0.975 0.500
Ni: 0.306 0.806 0.781
Ni: 0.475 0.694 0.500
Ni: 0.525 0.306 0.500
Ni: 0.694 0.194 0.219
Ni: 0.806 0.025 0.500
Ni: 0.975 0.475 0.781
Sn: 0.158 0.342 0.500
Sn: 0.342 0.842 0.185
Sn: 0.658 0.158 0.815
Sn: 0.842 0.658 0.500

Record 2
For Tb3ErBi4, the GGA-PBE geometry in Alexandria gives the calculated X-ray diffraction stick pattern in this record (Cu Kα, 1.54184 Å).
Kinematic intensities with the Lorentz-polarization factor, no thermal factor.

Top 10 peaks for 10 to 90 degrees two-theta, low angle first:
2θ 24.4, d = 3.654 Å, rel. 3
2θ 28.2, d = 3.164 Å, rel. 100
2θ 40.3, d = 2.238 Å, rel. 78
2θ 47.7, d = 1.908 Å, rel. 2
2θ 49.9, d = 1.827 Å, rel. 28
2θ 58.3, d = 1.582 Å, rel. 13
2θ 64.1, d = 1.452 Å, rel. 1
2θ 66.0, d = 1.415 Å, rel. 37
2θ 73.3, d = 1.292 Å, rel. 28
2θ 87.1, d = 1.119 Å, rel. 9

Structure:
a = 6.329 Å, b = 6.329 Å, c = 6.329 Å
α = 90.00°, β = 90.00°, γ = 90.00°
Atoms (fractional coordinates):
Tb: 0.000 0.000 0.500
Tb: 0.000 0.500 0.000
Tb: 0.500 0.000 0.000
Er: 0.500 0.500 0.500
Bi: 0.000 0.000 0.000
Bi: 0.000 0.500 0.500
Bi: 0.500 0.000 0.500
Bi: 0.500 0.500 0.000

Record 3
For BC3, the GGA-PBE geometry in Alexandria gives the calculated X-ray diffraction stick pattern in this record (Cu Kα, 1.54184 Å).
Kinematic intensities with the Lorentz-polarization factor, no thermal factor.

Top 10 peaks for 10 to 90 degrees two-theta, low angle first:
2θ 42.0, d = 2.153 Å, rel. 46
2θ 42.3, d = 2.137 Å, rel. 50
2θ 43.2, d = 2.095 Å, rel. 100
2θ 71.9, d = 1.313 Å, rel. 26
2θ 72.3, d = 1.306 Å, rel. 26
2θ 72.9, d = 1.297 Å, rel. 13
2θ 75.9, d = 1.254 Å, rel. 12
2θ 85.7, d = 1.133 Å, rel. 6
2θ 88.5, d = 1.105 Å, rel. 9
2θ 88.9, d = 1.101 Å, rel. 8

Structure:
a = 4.525 Å, b = 4.525 Å, c = 7.622 Å
α = 115.34°, β = 115.34°, γ = 32.18°
Atoms (fractional coordinates):
B: 0.000 0.000 0.000
B: 0.172 0.172 0.692
B: 0.506 0.506 0.364
C: 0.177 0.177 0.211
C: 0.326 0.326 0.150
C: 0.342 0.342 0.655
C: 0.503 0.503 0.852
C: 0.668 0.668 0.837
C: 0.677 0.677 0.325
C: 0.828 0.828 0.037
C: 0.841 0.841 0.534
C: 0.998 0.998 0.496

Record 4
For Mg5Sn2Hg, the GGA-PBE geometry in Alexandria gives the calculated X-ray diffraction stick pattern in this record (Cu Kα, 1.54184 Å).
Kinematic intensities with the Lorentz-polarization factor, no thermal factor.

Top 10 peaks for 10 to 90 degrees two-theta, low angle first:
2θ 10.6, d = 8.344 Å, rel. 43
2θ 18.9, d = 4.694 Å, rel. 100
2θ 23.6, d = 3.770 Å, rel. 84
2θ 24.2, d = 3.673 Å, rel. 65
2θ 28.4, d = 3.141 Å, rel. 45
2θ 35.5, d = 2.527 Å, rel. 38
2θ 36.7, d = 2.446 Å, rel. 33
2θ 37.5, d = 2.400 Å, rel. 41
2θ 39.0, d = 2.309 Å, rel. 59
2θ 44.1, d = 2.051 Å, rel. 37

Structure:
a = 8.695 Å, b = 8.695 Å, c = 12.678 Å
α = 90.00°, β = 90.00°, γ = 147.32°
Atoms (fractional coordinates):
Mg: 0.025 0.975 0.627
Mg: 0.025 0.975 0.873
Mg: 0.220 0.780 0.250
Mg: 0.282 0.718 0.574
Mg: 0.282 0.718 0.926
Mg: 0.718 0.282 0.074
Mg: 0.718 0.282 0.426
Mg: 0.780 0.220 0.750
Mg: 0.975 0.025 0.127
Mg: 0.975 0.025 0.373
Sn: 0.133 0.867 0.050
Sn: 0.133 0.867 0.450
Sn: 0.867 0.133 0.550
Sn: 0.867 0.133 0.950
Hg: 0.168 0.832 0.750
Hg: 0.832 0.168 0.250

Record 5
For Ba2CdGe2O7, the GGA-PBE geometry in Alexandria gives the calculated X-ray diffraction stick pattern in this record (Cu Kα, 1.54184 Å).
Kinematic intensities with the Lorentz-polarization factor, no thermal factor.

Top 10 peaks for 10 to 90 degrees two-theta, low angle first:
2θ 21.3, d = 4.162 Å, rel. 16
2θ 25.8, d = 3.456 Å, rel. 33
2θ 27.7, d = 3.216 Å, rel. 100
2θ 31.9, d = 2.806 Å, rel. 14
2θ 32.3, d = 2.775 Å, rel. 34
2θ 45.6, d = 1.990 Å, rel. 13
2θ 46.0, d = 1.973 Å, rel. 28
2θ 46.8, d = 1.941 Å, rel. 9
2θ 54.3, d = 1.689 Å, rel. 10
2θ 59.0, d = 1.565 Å, rel. 14

Structure:
a = 8.775 Å, b = 8.775 Å, c = 5.612 Å
α = 90.00°, β = 90.00°, γ = 90.00°
Atoms (fractional coordinates):
Ba: 0.166 0.334 0.006
Ba: 0.334 0.834 0.994
Ba: 0.666 0.166 0.994
Ba: 0.834 0.666 0.006
Cd: 0.000 0.000 0.500
Cd: 0.500 0.500 0.500
Ge: 0.137 0.637 0.552
Ge: 0.363 0.137 0.448
Ge: 0.637 0.863 0.448
Ge: 0.863 0.363 0.552
O: 0.000 0.500 0.669
O: 0.078 0.803 0.709
O: 0.140 0.640 0.242
O: 0.197 0.078 0.291
O: 0.303 0.578 0.709
O: 0.360 0.140 0.758
O: 0.422 0.303 0.291
O: 0.500 0.000 0.331
O: 0.578 0.697 0.291
O: 0.640 0.860 0.758
O: 0.697 0.422 0.709
O: 0.803 0.922 0.291
O: 0.860 0.360 0.242
O: 0.922 0.197 0.709

Record 6
For SrLaNpN4, the GGA-PBE geometry in Alexandria gives the calculated X-ray diffraction stick pattern in this record (Cu Kα, 1.54184 Å).
Kinematic intensities with the Lorentz-polarization factor, no thermal factor.

Top 10 peaks for 10 to 90 degrees two-theta, low angle first:
2θ 13.8, d = 6.407 Å, rel. 31
2θ 22.1, d = 4.017 Å, rel. 17
2θ 29.7, d = 3.006 Å, rel. 100
2θ 29.9, d = 2.992 Å, rel. 60
2θ 41.2, d = 2.192 Å, rel. 17
2θ 42.7, d = 2.115 Å, rel. 28
2θ 52.7, d = 1.738 Å, rel. 20
2θ 52.9, d = 1.730 Å, rel. 42
2θ 61.7, d = 1.503 Å, rel. 15
2θ 70.3, d = 1.338 Å, rel. 20

Structure:
a = 4.231 Å, b = 4.231 Å, c = 12.813 Å
α = 90.00°, β = 90.00°, γ = 90.00°
Atoms (fractional coordinates):
Sr: 0.000 0.000 0.000
Sr: 0.500 0.500 0.500
La: 0.000 0.000 0.295
La: 0.500 0.500 0.795
Np: 0.000 0.000 0.645
Np: 0.500 0.500 0.145
N: 0.000 0.000 0.483
N: 0.000 0.000 0.805
N: 0.000 0.500 0.154
N: 0.000 0.500 0.654
N: 0.500 0.000 0.154
N: 0.500 0.000 0.654
N: 0.500 0.500 0.305
N: 0.500 0.500 0.983